(1)
Diffraction record for Ba6Na2HN. The PXRD pattern is calculated, not measured: it uses a DFT-relaxed cell (GGA-PBE, Alexandria) and Cu Kα, 1.54184 Å.

Principal peaks in the range 2θ from 10° to 90°, by angle:
2θ/deg, I (rel.)
15.0, 231
21.2, 134
26.1, 1000
30.2, 553
33.8, 101
43.2, 327
51.1, 290
51.2, 145
53.6, 133
69.1, 111

Atomic structure:
```
data_Ba6Na2HN
_chemical_formula_sum 'Ba6 Na2 H1 N1'
_cell_length_a 8.373
_cell_length_b 8.373
_cell_length_c 8.363
_cell_angle_alpha 119.87
_cell_angle_beta 119.87
_cell_angle_gamma 90.16
_space_group_name_H-M_alt 'P 1'
_space_group_IT_number 1
_space_group_name_Hall 'P 1'
loop_
_atom_site_label
_atom_site_type_symbol
_atom_site_fract_x
_atom_site_fract_y
_atom_site_fract_z
Ba1 Ba 0.236 0.236 0.997
Ba2 Ba 0.237 0.763 0.000
Ba3 Ba 0.238 0.238 0.474
Ba4 Ba 0.762 0.762 0.526
Ba5 Ba 0.763 0.237 0.000
Ba6 Ba 0.764 0.764 0.003
Na1 Na 0.250 0.750 0.500
Na2 Na 0.750 0.250 0.500
H1 H 0.500 0.500 0.000
N1 N 0.000 0.000 0.000
```

---

(2)
Diffraction record for Ce8Pu2Os. The PXRD pattern is calculated, not measured: it uses a DFT-relaxed cell (GGA-PBE, Alexandria) and Cu Kα, 1.54184 Å.

Principal peaks in the range 2θ from 10° to 90°, by angle:
2θ/deg, I (rel.)
13.6, 614
18.7, 1000
29.8, 937
31.4, 890
32.9, 455
35.3, 481
36.0, 537
37.8, 643
40.8, 505
42.5, 516

Atomic structure:
```
data_Ce8Pu2Os
_chemical_formula_sum 'Ce8 Pu2 Os1'
_cell_length_a 6.906
_cell_length_b 6.906
_cell_length_c 6.699
_cell_angle_alpha 108.88
_cell_angle_beta 108.88
_cell_angle_gamma 87.07
_space_group_name_H-M_alt 'P 1'
_space_group_IT_number 1
_space_group_name_Hall 'P 1'
loop_
_atom_site_label
_atom_site_type_symbol
_atom_site_fract_x
_atom_site_fract_y
_atom_site_fract_z
Ce1 Ce 0.033 0.033 0.268
Ce2 Ce 0.160 0.539 0.291
Ce3 Ce 0.364 0.349 0.743
Ce4 Ce 0.461 0.840 0.709
Ce5 Ce 0.511 0.122 0.256
Ce6 Ce 0.651 0.636 0.257
Ce7 Ce 0.878 0.489 0.744
Ce8 Ce 0.967 0.967 0.732
Pu1 Pu 0.197 0.685 0.807
Pu2 Pu 0.315 0.803 0.193
Os1 Os 0.749 0.251 0.000
```

---

(3)
Diffraction record for Dy6Y5Er. The PXRD pattern is calculated, not measured: it uses a DFT-relaxed cell (GGA-PBE, Alexandria) and Cu Kα, 1.54184 Å.

Principal peaks in the range 2θ from 10° to 90°, by angle:
2θ/deg, I (rel.)
15.3, 58
30.9, 1000
35.8, 504
51.5, 355
61.2, 140
61.3, 280
64.3, 121
84.0, 173
86.7, 81
86.8, 81

Atomic structure:
```
data_Dy6Y5Er
_chemical_formula_sum 'Dy6 Y5 Er1'
_cell_length_a 6.147
_cell_length_b 6.147
_cell_length_c 11.769
_cell_angle_alpha 94.97
_cell_angle_beta 94.97
_cell_angle_gamma 119.94
_space_group_name_H-M_alt 'P 1'
_space_group_IT_number 1
_space_group_name_Hall 'P 1'
loop_
_atom_site_label
_atom_site_type_symbol
_atom_site_fract_x
_atom_site_fract_y
_atom_site_fract_z
Dy1 Dy 0.083 0.415 0.249
Dy2 Dy 0.250 0.250 0.751
Dy3 Dy 0.415 0.083 0.249
Dy4 Dy 0.585 0.917 0.751
Dy5 Dy 0.750 0.750 0.249
Dy6 Dy 0.917 0.585 0.751
Y1 Y 0.167 0.833 0.500
Y2 Y 0.333 0.667 0.000
Y3 Y 0.500 0.500 0.500
Y4 Y 0.667 0.333 0.000
Y5 Y 0.833 0.167 0.500
Er1 Er 0.000 0.000 0.000
```

---

(4)
Diffraction record for Pu2ThSe3. The PXRD pattern is calculated, not measured: it uses a DFT-relaxed cell (GGA-PBE, Alexandria) and Cu Kα, 1.54184 Å.

Principal peaks in the range 2θ from 10° to 90°, by angle:
2θ/deg, I (rel.)
26.1, 225
26.3, 219
30.4, 1000
43.1, 129
43.5, 506
43.8, 124
53.7, 137
54.2, 134
63.2, 127
71.7, 235

Atomic structure:
```
data_Pu2ThSe3
_chemical_formula_sum 'Pu2 Th1 Se3'
_cell_length_a 7.247
_cell_length_b 7.247
_cell_length_c 7.247
_cell_angle_alpha 146.84
_cell_angle_beta 132.10
_cell_angle_gamma 59.49
_space_group_name_H-M_alt 'P 1'
_space_group_IT_number 1
_space_group_name_Hall 'P 1'
loop_
_atom_site_label
_atom_site_type_symbol
_atom_site_fract_x
_atom_site_fract_y
_atom_site_fract_z
Pu1 Pu 0.165 0.165 0.000
Pu2 Pu 0.835 0.835 0.000
Th1 Th 0.500 0.500 0.000
Se1 Se 0.000 0.500 0.500
Se2 Se 0.328 0.828 0.500
Se3 Se 0.672 0.172 0.500
```